# 1
This entry pairs a crystal structure of Li2MnVP4O14 with its simulated powder XRD pattern. Radiation: a wavelength of 1.5418 Å. Structure: a GGA+U-relaxed structure.
Lines closer than 0.1° are merged.

```
data_Li2MnVP4O14
_cell_length_a 7.0600
_cell_length_b 8.3027
_cell_length_c 9.7142
_cell_angle_alpha 90.00
_cell_angle_beta 108.87
_cell_angle_gamma 90.00
_symmetry_space_group_name_H-M 'P 1'
_symmetry_Int_Tables_number 1
loop_
_symmetry_equiv_pos_as_xyz
'x,y,z'
loop_
_atom_site_label
_atom_site_type_symbol
_atom_site_fract_x
_atom_site_fract_y
_atom_site_fract_z
Li1 Li 0.1726 0.0000 0.3364
Li2 Li 0.1756 0.9988 0.8396
Li3 Li 0.8244 0.4988 0.1604
Li4 Li 0.8274 0.5000 0.6636
Mn1 Mn 0.2304 0.6371 0.8564
Mn2 Mn 0.7696 0.1371 0.1436
V1 V 0.2270 0.6395 0.3570
V2 V 0.7730 0.1395 0.6430
P1 P 0.0176 0.3175 0.9504
P2 P 0.0216 0.3188 0.4498
P3 P 0.4107 0.4262 0.1428
P4 P 0.4133 0.4239 0.6439
P5 P 0.5867 0.9239 0.3561
P6 P 0.5893 0.9262 0.8572
P7 P 0.9784 0.8188 0.5502
P8 P 0.9824 0.8175 0.0496
O1 O 0.0064 0.9796 0.1262
O2 O 0.0070 0.4825 0.3743
O3 O 0.0168 0.6751 0.1557
O4 O 0.0191 0.6762 0.6565
O5 O 0.1049 0.8160 0.4481
O6 O 0.1079 0.8112 0.9460
O7 O 0.2507 0.2947 0.0482
O8 O 0.2520 0.2922 0.5485
O9 O 0.3464 0.4673 0.2745
O10 O 0.3560 0.4635 0.7788
O11 O 0.3870 0.8349 0.3183
O12 O 0.3868 0.8440 0.8123
O13 O 0.4100 0.5762 0.0490
O14 O 0.4144 0.5730 0.5518
O15 O 0.5856 0.0730 0.4482
O16 O 0.5900 0.0762 0.9510
O17 O 0.6130 0.3349 0.6817
O18 O 0.6132 0.3440 0.1877
O19 O 0.6440 0.9635 0.2212
O20 O 0.6536 0.9673 0.7255
O21 O 0.7480 0.7922 0.4515
O22 O 0.7493 0.7947 0.9518
O23 O 0.8921 0.3112 0.0540
O24 O 0.8951 0.3160 0.5519
O25 O 0.9809 0.1762 0.3435
O26 O 0.9832 0.1751 0.8443
O27 O 0.9930 0.9825 0.6257
O28 O 0.9936 0.4796 0.8738
```

Top 10 peaks for 2θ from 15° to 90°, sorted by position:
2θ 17.04, I = 100, (1 1 0)
2θ 22.11, I = 20, (0 1 2)
2θ 22.35, I = 44, (1 1 -2)
2θ 25.26, I = 19, (1 2 0)
2θ 26.87, I = 21, (1 0 2)
2θ 28.98, I = 29, (1 1 2)
2θ 29.17, I = 56, (1 2 -2)
2θ 29.54, I = 27, (2 1 -2)
2θ 34.46, I = 13, (2 2 0)
2θ 42.94, I = 13, (2 3 -2)


# 2
This entry pairs a crystal structure of Li3MnVP3O12 with its simulated powder XRD pattern. Radiation: a wavelength of 1.5418 Å. Structure: a GGA+U-relaxed structure.
Lines closer than 0.1° are merged.

```
data_Li3MnVP3O12
_cell_length_a 8.4003
_cell_length_b 8.4263
_cell_length_c 9.2743
_cell_angle_alpha 90.26
_cell_angle_beta 116.79
_cell_angle_gamma 119.78
_symmetry_space_group_name_H-M 'P 1'
_symmetry_Int_Tables_number 1
loop_
_symmetry_equiv_pos_as_xyz
'x,y,z'
loop_
_atom_site_label
_atom_site_type_symbol
_atom_site_fract_x
_atom_site_fract_y
_atom_site_fract_z
Li1 Li 0.0000 0.0000 0.0000
Li2 Li 0.1039 0.4787 0.2140
Li3 Li 0.2681 0.4700 0.5377
Li4 Li 0.4470 0.0530 0.2595
Li5 Li 0.6622 0.4025 0.9859
Li6 Li 0.8718 0.8064 0.2774
Mn1 Mn 0.3593 0.8858 0.5714
Mn2 Mn 0.7856 0.5947 0.6967
V1 V 0.3731 0.3964 0.0908
V2 V 0.7406 0.0751 0.1603
P1 P 0.2537 0.1937 0.3713
P2 P 0.2758 0.9979 0.8853
P3 P 0.5628 0.6861 0.8891
P4 P 0.5652 0.7798 0.3741
P5 P 0.8488 0.4687 0.3713
P6 P 0.8629 0.2738 0.8792
O1 O 0.0593 0.2503 0.9622
O2 O 0.0612 0.2233 0.3013
O3 O 0.0663 0.8810 0.8826
O4 O 0.0708 0.5730 0.3862
O5 O 0.1729 0.9891 0.3827
O6 O 0.2666 0.9632 0.7224
O7 O 0.3184 0.2067 0.2330
O8 O 0.3771 0.2185 0.9593
O9 O 0.3889 0.5684 0.2385
O10 O 0.4112 0.5592 0.9528
O11 O 0.4292 0.3537 0.5364
O12 O 0.4300 0.6995 0.7180
O13 O 0.4329 0.8578 0.3682
O14 O 0.4421 0.9605 0.0278
O15 O 0.6828 0.1155 0.7170
O16 O 0.6857 0.6020 0.8847
O17 O 0.6900 0.7589 0.5408
O18 O 0.7054 0.5247 0.2277
O19 O 0.7124 0.9009 0.3030
O20 O 0.7377 0.2470 0.3011
O21 O 0.7421 0.8916 0.0254
O22 O 0.7964 0.2535 0.0225
O23 O 0.8606 0.5125 0.5336
O24 O 0.9379 0.4772 0.8767
```

Top 10 peaks for 2θ from 15° to 90°, sorted by position:
2θ 19.28, I = 69, (1 -1 1)
2θ 23.92, I = 100, (1 1 0)
2θ 24.02, I = 20, (-2 1 2)
2θ 28.69, I = 34, (0 2 -2)
2θ 28.82, I = 15, (-2 2 2)
2θ 30.96, I = 17, (1 1 1)
2θ 31.01, I = 51, (1 -2 2)
2θ 31.11, I = 15, (-2 1 3)
2θ 37.02, I = 15, (3 0 -2)
2θ 60.02, I = 12, (4 -1 1)